Diffraction record for SbRh. The X-ray powder pattern is theoretical, not measured: it uses a cell relaxed with PBE and copper Kα.

Atomic structure:
Lattice parameters (Å, degrees): 6.0301 3.9280 6.4051 90.00 90.00 90.00
Space group Pnma (No. 62)
Asymmetric unit:
Sb 0.1963 0.2500 0.0924
Rh 0.0062 0.2500 0.6945

The 10 most intense peaks (10° ≤ 2θ ≤ 80°), by angle:
Position (°2θ)	I (rel.)	index
30.54	83	1 1 1
31.63	49	1 0 2
37.61	19	2 1 0
39.25	52	1 1 2
40.25	100	2 1 1
41.12	29	2 0 2
46.22	38	0 2 0
47.41	22	3 0 1
48.53	38	0 1 3
63.57	22	2 2 2

---

Diffraction record for LiPrC3N6. The X-ray powder pattern is theoretical, not measured: it uses a cell relaxed with PBE and copper Kα.

Atomic structure:
Lattice parameters (Å, degrees): 10.1424 10.1424 6.4228 90.00 90.00 120.00
Space group R32 (No. 155, hexagonal axes)
Asymmetric unit:
Li 0.0000 0.0000 0.0000
Pr 0.0000 0.0000 0.5000
C 0.0000 0.4996 0.5000
N 0.1006 0.2023 0.7664

The 10 most intense peaks (10° ≤ 2θ ≤ 80°), by angle:
Position (°2θ)	I (rel.)	index
17.10	60	1 0 1
17.49	100	1 1 0
24.56	97	0 2 1
30.31	22	2 1 1
34.60	32	2 0 2
35.40	22	2 2 0
39.02	31	1 2 2
39.57	38	1 3 1
46.02	13	1 1 3
46.81	21	3 1 2

---

Diffraction record for DySn6. The X-ray powder pattern is theoretical, not measured: it uses a cell relaxed with PBE and copper Kα.

Atomic structure:
Lattice parameters (Å, degrees): 8.0748 8.0748 8.0748 90.00 90.00 90.00
Space group Im-3m (No. 229)
Asymmetric unit:
Dy 0.0000 0.0000 0.0000
Sn 0.0000 0.2500 0.5000

The 10 most intense peaks (10° ≤ 2θ ≤ 80°), by angle:
Position (°2θ)	I (rel.)	index
22.02	41	2 0 0
27.05	100	2 1 1
38.63	26	2 2 2
41.86	63	3 2 1
44.90	32	4 0 0
50.55	18	4 2 0
53.21	16	3 3 2
63.06	19	5 2 1
65.38	21	4 4 0
72.11	20	6 1 1

---

Diffraction record for NaCeAgF6. The X-ray powder pattern is theoretical, not measured: it uses a cell relaxed with PBE and copper Kα.

Atomic structure:
Lattice parameters (Å, degrees): 5.3609 5.3609 10.9437 90.00 90.00 90.00
Space group P4_2nm (No. 102)
Asymmetric unit:
Na 0.0000 0.0000 0.0000
Ce 0.0000 0.0000 0.3357
Ag 0.0000 0.0000 0.6693
F 0.1857 0.1857 0.1808
F 0.1976 0.1976 0.4808
F 0.2121 0.2121 0.8420

The 10 most intense peaks (10° ≤ 2θ ≤ 80°), by angle:
Position (°2θ)	I (rel.)	index
16.20	18	0 0 2
18.43	48	1 0 1
23.47	100	1 1 0
28.65	16	1 1 2
29.62	76	1 0 3
33.43	16	2 0 0
45.26	74	2 1 3
48.00	21	2 2 0
55.95	17	1 1 6
57.42	25	3 0 3

---

Diffraction record for PmZn2Cd2Pt. The X-ray powder pattern is theoretical, not measured: it uses a cell relaxed with PBE and copper Kα.

Atomic structure:
Lattice parameters (Å, degrees): 5.0631 5.0631 11.0779 90.00 90.00 90.00
Space group I4/mmm (No. 139)
Asymmetric unit:
Pm 0.0000 0.0000 0.0000
Zn 0.0000 0.0000 0.2808
Cd 0.0000 0.5000 0.2500
Pt 0.0000 0.0000 0.5000

The 10 most intense peaks (10° ≤ 2θ ≤ 80°), by angle:
Position (°2θ)	I (rel.)	index
24.87	26	1 1 0
29.71	100	1 1 2
32.33	48	0 0 4
35.46	84	2 0 0
48.73	60	2 0 4
51.02	29	2 2 0
56.04	23	1 1 6
60.16	27	3 1 2
61.70	29	2 2 4
79.19	17	3 1 6

---

Diffraction record for Ba2Cd3Hg17. The X-ray powder pattern is theoretical, not measured: it uses a cell relaxed with PBE and copper Kα.

Atomic structure:
Lattice parameters (Å, degrees): 5.8614 8.3583 13.5547 76.65 87.74 82.36
Space group P-1 (No. 2)
Asymmetric unit:
Ba 0.1453 0.1480 0.2255
Cd 0.0000 0.5000 0.0000
Cd 0.5000 0.0000 0.0000
Cd 0.5000 0.0000 0.5000
Hg 0.0000 0.0000 0.0000
Hg 0.0000 0.0000 0.5000
Hg 0.0521 0.3825 0.4162
Hg 0.1726 0.7430 0.3493
Hg 0.2517 0.3117 0.8553
Hg 0.2742 0.5740 0.1717
Hg 0.3383 0.1184 0.6926
Hg 0.3784 0.7097 0.9211
Hg 0.3948 0.6927 0.6736
Hg 0.5000 0.5000 0.5000

The 10 most intense peaks (10° ≤ 2θ ≤ 80°), by angle:
Position (°2θ)	I (rel.)	index
28.46	100	0 2 -2
30.87	86	0 2 4
31.08	58	1 2 -2
31.50	76	2 0 1
31.80	33	-1 1 4
33.27	37	0 1 5
33.60	57	2 0 2
35.28	32	2 -1 1
35.72	36	2 2 0
37.90	46	-1 3 1

---

Diffraction record for Pr3Sb2Rh6. The X-ray powder pattern is theoretical, not measured: it uses a cell relaxed with PBE and copper Kα.

Atomic structure:
Lattice parameters (Å, degrees): 9.6215 9.6215 9.6215 90.00 90.00 90.00
Space group Im-3m (No. 229)
Asymmetric unit:
Pr 0.0000 0.0000 0.2855
Sb 0.2500 0.2500 0.2500
Rh 0.0000 0.3492 0.3492

The 10 most intense peaks (10° ≤ 2θ ≤ 80°), by angle:
Position (°2θ)	I (rel.)	index
13.01	15	1 1 0
29.35	11	3 1 0
32.23	37	2 2 2
34.89	26	3 2 1
37.39	14	4 0 0
39.75	100	3 3 0
41.99	17	4 2 0
64.21	18	6 2 2
67.44	11	4 4 4
72.14	22	6 3 3

---

Diffraction record for ScBe2CoSi. The X-ray powder pattern is theoretical, not measured: it uses a cell relaxed with PBE and copper Kα.

Atomic structure:
Lattice parameters (Å, degrees): 3.5777 3.6679 9.5295 90.00 90.00 90.00
Space group Imm2 (No. 44)
Asymmetric unit:
Sc 0.0000 0.0000 0.0000
Be 0.0000 0.0000 0.6169
Be 0.0000 0.5000 0.2446
Co 0.0000 0.5000 0.7402
Si 0.0000 0.0000 0.3823

The 10 most intense peaks (10° ≤ 2θ ≤ 80°), by angle:
Position (°2θ)	I (rel.)	index
26.03	63	0 1 1
26.61	20	1 0 1
37.45	19	0 1 3
37.76	13	0 0 4
37.88	46	1 0 3
39.97	100	1 1 2
49.71	19	0 2 0
51.06	18	2 0 0
54.24	14	0 1 5
64.14	22	1 2 3

---

Diffraction record for NdHo4Tl4. The X-ray powder pattern is theoretical, not measured: it uses a cell relaxed with PBE and copper Kα.

Atomic structure:
Lattice parameters (Å, degrees): 7.3677 7.3677 10.4128 90.00 90.00 90.00
Space group P4_2/nmc (No. 137, origin choice 2)
Asymmetric unit:
Nd 0.2500 0.7500 0.2500
Ho 0.0182 0.2500 0.1600
Tl 0.0305 0.2500 0.4612

The 10 most intense peaks (10° ≤ 2θ ≤ 80°), by angle:
Position (°2θ)	I (rel.)	index
25.65	25	2 0 1
28.41	94	2 1 1
34.43	57	2 2 0
35.54	100	2 0 3
36.61	29	1 0 4
38.65	23	2 2 2
49.48	29	4 0 0
57.32	23	3 2 4
62.39	32	4 2 3
69.28	23	5 2 1

---

Diffraction record for Tl3Re2HgO8. The X-ray powder pattern is theoretical, not measured: it uses a cell relaxed with PBE and copper Kα.

Atomic structure:
Lattice parameters (Å, degrees): 6.4272 6.4272 9.5915 90.00 90.00 120.00
Space group P-3m1 (No. 164)
Asymmetric unit:
Tl 0.0000 0.0000 0.0000
Tl 0.3333 0.6667 0.7053
Re 0.3333 0.6667 0.1513
Hg 0.0000 0.0000 0.5000
O 0.1834 0.3669 0.2135
O 0.3333 0.6667 0.9650

The 10 most intense peaks (10° ≤ 2θ ≤ 80°), by angle:
Position (°2θ)	I (rel.)	index
24.50	100	0 1 2
27.76	83	1 1 0
37.36	35	2 0 2
40.98	22	1 0 4
47.18	33	1 2 2
49.10	18	3 0 0
50.25	14	0 2 4
57.34	13	2 2 0
58.36	19	2 1 4
63.28	15	3 1 2

---

Diffraction record for Cs2Tl7Ag. The X-ray powder pattern is theoretical, not measured: it uses a cell relaxed with PBE and copper Kα.

Atomic structure:
Lattice parameters (Å, degrees): 5.4519 5.4519 12.5017 90.00 90.00 90.00
Space group P-4m2 (No. 115)
Asymmetric unit:
Cs 0.0000 0.5000 0.2428
Tl 0.0000 0.0000 0.0000
Tl 0.0000 0.0000 0.5000
Tl 0.0000 0.5000 0.6354
Tl 0.0000 0.5000 0.8888
Tl 0.5000 0.5000 0.5000
Ag 0.5000 0.5000 0.0000

The 10 most intense peaks (10° ≤ 2θ ≤ 80°), by angle:
Position (°2θ)	I (rel.)	index
14.17	26	0 0 2
17.75	26	1 0 1
26.93	73	1 0 3
27.18	95	1 1 2
32.86	100	2 0 0
37.03	69	1 1 4
42.98	42	2 1 3
47.15	37	2 2 0
55.27	27	3 1 2
61.42	32	3 1 4

---

Diffraction record for NdHoHg4. The X-ray powder pattern is theoretical, not measured: it uses a cell relaxed with PBE and copper Kα.

Atomic structure:
Lattice parameters (Å, degrees): 10.6412 3.8891 8.0460 90.00 111.33 90.00
Space group C2/m (No. 12)
Asymmetric unit:
Nd 0.0000 0.0000 0.0000
Ho 0.0000 0.0000 0.5000
Hg 0.1671 0.5000 0.8228
Hg 0.1681 0.5000 0.3430

The 10 most intense peaks (10° ≤ 2θ ≤ 80°), by angle:
Position (°2θ)	I (rel.)	index
32.01	100	1 1 -2
34.87	40	2 0 2
35.42	38	4 0 -2
35.65	76	3 1 0
45.08	19	2 0 -4
46.71	18	0 2 0
58.38	18	1 1 4
59.12	17	5 1 -4
59.60	17	2 2 2
59.96	17	4 2 -2

---

Diffraction record for AcDyY6. The X-ray powder pattern is theoretical, not measured: it uses a cell relaxed with PBE and copper Kα.

Atomic structure:
Lattice parameters (Å, degrees): 6.7393 6.8301 6.8924 119.36 92.68 94.77
Space group P-1 (No. 2)
Asymmetric unit:
Ac 0.0000 0.0000 0.0000
Dy 0.5000 0.0000 0.0000
Y 0.2575 0.5753 0.5212
Y 0.2623 0.5626 0.0393
Y 0.2766 0.0944 0.5411

The 10 most intense peaks (10° ≤ 2θ ≤ 80°), by angle:
Position (°2θ)	I (rel.)	index
14.98	34	0 1 0
29.06	29	2 -1 0
29.28	29	2 0 -1
29.90	67	0 0 2
30.21	100	0 2 -2
30.43	32	2 -1 1
31.03	22	2 1 -1
31.58	21	1 -2 0
31.98	21	2 0 1
32.35	24	2 1 0